For Ce3Pm4Ge4, a crystal structure in Alexandria, relaxed with GGA-PBE gives the simulated XRD peak list in this record (Cu Kα X-rays).
Intensities are scaled so that the largest is 100.

Top 10 peaks for 2θ = 10–90°, low angle first:
2θ 26.23, I = 36; 2θ 30.61, I = 69; 2θ 31.09, I = 27; 2θ 31.56, I = 63; 2θ 34.44, I = 100; 2θ 34.92, I = 35; 2θ 37.88, I = 23; 2θ 39.83, I = 42; 2θ 53.99, I = 20; 2θ 57.49, I = 19

a = 11.508 Å, b = 6.164 Å, c = 6.164 Å
α = 43.09°, β = 90.00°, γ = 90.00°
Sites, in units of the cell vectors:
Ce  0.000  0.000  0.000
Ce  0.353  0.063  0.063
Ce  0.647  0.063  0.063
Pm  0.000  0.309  0.309
Pm  0.247  0.763  0.763
Pm  0.500  0.360  0.360
Pm  0.753  0.763  0.763
Ge  0.000  0.658  0.658
Ge  0.219  0.452  0.452
Ge  0.500  0.672  0.672
Ge  0.781  0.452  0.452